Diffraction record for Li5Ga5Pd2. The powder diffraction line list is computed, not measured: it uses the GGA-PBE geometry in Alexandria and CuKα.

Structure:
```
Li5Ga5Pd2
1.0
6.602 -2.215 0.000
6.602 2.215 0.000
-4.327 0.000 6.348
Li Ga Pd
5 5 2
direct
0.000 0.000 0.000
0.090 0.090 0.418
0.178 0.178 0.843
0.822 0.822 0.157
0.910 0.910 0.582
0.255 0.255 0.286
0.424 0.424 0.096
0.500 0.500 0.500
0.576 0.576 0.904
0.745 0.745 0.714
0.338 0.338 0.697
0.662 0.662 0.303
```

Principal peaks in the range 10 to 90 degrees two-theta, in order of falling intensity:
- 2θ 40.75, 2.214 Å, intensity 100
- 2θ 21.65, 4.105 Å, intensity 56
- 2θ 14.25, 6.215 Å, intensity 21
- 2θ 40.11, 2.248 Å, intensity 20
- 2θ 35.85, 2.505 Å, intensity 18
- 2θ 27.37, 3.259 Å, intensity 16
- 2θ 58.50, 1.578 Å, intensity 12
- 2θ 52.00, 1.759 Å, intensity 12
- 2θ 55.36, 1.659 Å, intensity 10
- 2θ 58.70, 1.573 Å, intensity 8

---

Diffraction record for RbLiGa2Pd. The powder diffraction line list is computed, not measured: it uses the GGA-PBE geometry in Alexandria and CuKα.

Structure:
```
RbLiGa2Pd
1.0
4.889 0.000 0.000
0.000 4.889 0.000
0.000 0.000 5.303
Rb Li Ga Pd
1 1 2 1
direct
0.000 0.000 0.000
0.500 0.500 0.000
0.000 0.500 0.500
0.500 0.000 0.500
0.500 0.500 0.500
```

Principal peaks in the range 10 to 90 degrees two-theta, in order of falling intensity:
- 2θ 24.77, 3.595 Å, intensity 100
- 2θ 36.76, 2.445 Å, intensity 59
- 2θ 16.72, 5.303 Å, intensity 47
- 2θ 50.80, 1.797 Å, intensity 46
- 2θ 44.84, 2.021 Å, intensity 40
- 2θ 33.81, 2.651 Å, intensity 37
- 2θ 30.88, 2.896 Å, intensity 27
- 2θ 64.33, 1.448 Å, intensity 22
- 2θ 52.97, 1.729 Å, intensity 20
- 2θ 40.64, 2.220 Å, intensity 20

---

Diffraction record for LiGaRePdRu. The powder diffraction line list is computed, not measured: it uses the GGA-PBE geometry in Alexandria and CuKα.

Structure:
```
LiGaRePdRu
1.0
4.446 -1.395 0.000
4.446 1.395 0.000
-3.276 0.000 5.846
Li Ga Re Pd Ru
1 1 1 1 1
direct
0.000 0.000 0.000
0.191 0.191 0.787
0.384 0.384 0.563
0.788 0.788 0.159
0.602 0.602 0.417
```

Principal peaks in the range 10 to 90 degrees two-theta, in order of falling intensity:
- 2θ 39.91, 2.259 Å, intensity 100
- 2θ 15.16, 5.846 Å, intensity 79
- 2θ 46.83, 1.940 Å, intensity 69
- 2θ 41.26, 2.188 Å, intensity 47
- 2θ 40.38, 2.233 Å, intensity 44
- 2θ 47.22, 1.925 Å, intensity 30
- 2θ 69.30, 1.356 Å, intensity 22
- 2θ 34.16, 2.625 Å, intensity 19
- 2θ 82.81, 1.166 Å, intensity 18
- 2θ 20.37, 4.360 Å, intensity 17

---

Diffraction record for LiGaRePdRu. The powder diffraction line list is computed, not measured: it uses the GGA-PBE geometry in Alexandria and CuKα.

Structure:
```
LiGaRePdRu
1.0
4.240 0.000 0.000
0.000 1.364 6.925
0.000 -1.364 6.925
Li Ga Re Pd Ru
1 1 1 1 1
direct
0.000 0.000 0.000
0.500 0.187 0.187
0.500 0.863 0.863
0.500 0.530 0.530
0.000 0.308 0.308
```

Principal peaks in the range 10 to 90 degrees two-theta, in order of falling intensity:
- 2θ 44.08, 2.055 Å, intensity 100
- 2θ 12.78, 6.925 Å, intensity 77
- 2θ 20.95, 4.240 Å, intensity 61
- 2θ 44.70, 2.027 Å, intensity 51
- 2θ 38.32, 2.349 Å, intensity 40
- 2θ 42.65, 2.120 Å, intensity 33
- 2θ 39.83, 2.263 Å, intensity 29
- 2θ 58.67, 1.574 Å, intensity 23
- 2θ 39.02, 2.308 Å, intensity 21
- 2θ 79.08, 1.211 Å, intensity 18

---

Diffraction record for LiGaRePdRu. The powder diffraction line list is computed, not measured: it uses the GGA-PBE geometry in Alexandria and CuKα.

Structure:
```
LiGaRePdRu
1.0
-1.391 1.893 6.763
1.391 -1.893 6.763
1.391 1.893 -6.763
Li Ga Re Pd Ru
1 1 1 1 1
direct
0.000 0.000 0.000
0.405 0.405 0.000
0.606 0.606 0.000
0.814 0.814 0.000
0.191 0.191 0.000
```

Principal peaks in the range 10 to 90 degrees two-theta, in order of falling intensity:
- 2θ 40.22, 2.242 Å, intensity 100
- 2θ 41.00, 2.201 Å, intensity 89
- 2θ 46.84, 1.940 Å, intensity 61
- 2θ 13.09, 6.763 Å, intensity 55
- 2θ 69.37, 1.355 Å, intensity 37
- 2θ 24.41, 3.646 Å, intensity 33
- 2θ 26.36, 3.381 Å, intensity 30
- 2θ 48.06, 1.893 Å, intensity 30
- 2θ 81.93, 1.176 Å, intensity 23
- 2θ 48.73, 1.869 Å, intensity 23

---

Diffraction record for LiTb2Ga4Pd3. The powder diffraction line list is computed, not measured: it uses the GGA-PBE geometry in Alexandria and CuKα.

Structure:
```
LiTb2Ga4Pd3
1.0
4.015 0.000 0.000
0.000 4.015 0.000
0.000 0.000 11.602
Li Tb Ga Pd
1 2 4 3
direct
0.000 0.000 0.000
0.000 0.500 0.745
0.500 0.000 0.255
0.000 0.000 0.500
0.000 0.500 0.138
0.500 0.000 0.862
0.500 0.500 0.500
0.000 0.500 0.357
0.500 0.000 0.643
0.500 0.500 0.000
```

Principal peaks in the range 10 to 90 degrees two-theta, in order of falling intensity:
- 2θ 45.15, 2.008 Å, intensity 100
- 2θ 35.19, 2.550 Å, intensity 96
- 2θ 32.14, 2.785 Å, intensity 70
- 2θ 65.77, 1.420 Å, intensity 48
- 2θ 56.50, 1.629 Å, intensity 28
- 2θ 31.51, 2.839 Å, intensity 27
- 2θ 76.86, 1.240 Å, intensity 19
- 2θ 81.96, 1.176 Å, intensity 13
- 2θ 44.66, 2.029 Å, intensity 9
- 2θ 83.35, 1.159 Å, intensity 9